Diffraction record for Tl3Sb3Pb. The powder diffractogram is theoretical, not measured: it uses a cell relaxed with GGA-PBE and copper Kα.
Kinematic intensities with the Lorentz-polarization factor, no thermal factor.

Principal peaks in the range 5° ≤ 2θ ≤ 70°, by angle:
(hkl)  2θ (°)  d_spacing  Rel. int.
2 -1 3  23.75  3.747  35
0 2 4  28.92  3.087  13
3 -1 1  30.50  2.931  70
1 2 2  31.49  2.841  15
2 0 5  31.93  2.802  23
1 1 6  33.33  2.688  100
3 0 0  34.32  2.613  30
3 -2 5  37.75  2.383  11
1 3 1  41.80  2.161  11
4 -3 7  52.88  1.731  14
2 3 5  56.05  1.641  20
2 -1 12  58.94  1.567  12

Atomic structure:
```
data_Tl3Sb3Pb
_chemical_formula_sum 'Tl18 Sb18 Pb6'
_space_group_name_H-M_alt 'R -3'
_space_group_IT_number 148
_space_group_name_Hall '-R 3'
_cell_length_a 9.0505
_cell_length_b 9.0505
_cell_length_c 20.0448
_cell_angle_alpha 90.00
_cell_angle_beta 90.00
_cell_angle_gamma 120.00
loop_
_atom_site_label
_atom_site_type_symbol
_atom_site_fract_x
_atom_site_fract_y
_atom_site_fract_z
Tl1 Tl 0.0354 0.7543 0.2150
Sb1 Sb 0.0446 0.7576 0.0453
Pb1 Pb 0.0000 0.0000 0.3384
```